Theoretical XRD peak list
Compound: MgTiMn3O8
Radiation: Cu Kα (λ = 1.5418 Å)
Structure: a structure optimized by DFT (PBE+U)
Neutral-atom scattering factors, no anomalous dispersion.

The 10 most intense peaks (10° ≤ 2θ ≤ 90°), in order of rising 2θ:
Position (°2θ)  I (rel.)  (hkl)
18.1  100  1 0 0
33.8  26  1 0 -2
35.6  21  1 -2 0
35.8  15  1 2 -2
40.5  23  0 0 2
43.5  19  2 -2 0
43.8  18  2 2 -2
57.4  8  3 -2 0
60.9  15  -2 2 2
61.1  7  2 2 0

```
data_MgTiMn3O8
_chemical_formula_sum 'Mg1 Ti1 Mn3 O8'
_cell_length_a 5.8545
_cell_length_b 5.8705
_cell_length_c 6.0651
_cell_angle_alpha 118.55
_cell_angle_beta 118.53
_cell_angle_gamma 90.43
_space_group_name_H-M_alt 'P 1'
_space_group_IT_number 1
_space_group_name_Hall 'P 1'
loop_
_atom_site_label
_atom_site_type_symbol
_atom_site_fract_x
_atom_site_fract_y
_atom_site_fract_z
Mg1 Mg 0.0000 0.0000 0.0000
Ti1 Ti 0.1369 0.3718 0.7360
Mn1 Mn 0.6186 0.3665 0.2298
Mn2 Mn 0.6195 0.3666 0.7348
Mn3 Mn 0.6239 0.8614 0.2366
O1 O 0.3704 0.1492 0.7297
O2 O 0.3771 0.5848 0.7341
O3 O 0.3797 0.5904 0.1838
O4 O 0.4156 0.1389 0.2804
O5 O 0.8123 0.5807 0.1658
O6 O 0.8606 0.1337 0.2686
O7 O 0.8678 0.1411 0.7322
O8 O 0.8722 0.5920 0.7346
```

---

Theoretical XRD peak list
Compound: MgTi2Mn2O6
Radiation: Cu Kα (λ = 1.5418 Å)
Structure: a structure optimized by DFT (PBE+U)
Neutral-atom scattering factors, no anomalous dispersion.

The 10 most intense peaks (10° ≤ 2θ ≤ 90°), in order of rising 2θ:
Position (°2θ)  I (rel.)  (hkl)
28.8  57  4 0 0
29.2  44  2 0 -2
34.3  100  1 1 1
36.3  46  3 1 0
37.0  39  3 1 -1
41.7  46  3 1 1
46.6  38  4 0 -3
52.7  46  5 1 1
53.2  55  1 1 -3
60.0  27  0 2 0

```
data_MgTi2Mn2O6
_chemical_formula_sum 'Mg2 Ti4 Mn4 O12'
_cell_length_a 12.8972
_cell_length_b 3.0832
_cell_length_c 6.2734
_cell_angle_alpha 90.00
_cell_angle_beta 105.92
_cell_angle_gamma 90.00
_space_group_name_H-M_alt 'C 1 2/m 1'
_space_group_IT_number 12
_space_group_name_Hall '-C 2y'
loop_
_atom_site_label
_atom_site_type_symbol
_atom_site_fract_x
_atom_site_fract_y
_atom_site_fract_z
Mg1 Mg 0.0000 0.0000 0.0000
Ti1 Ti 0.1228 0.0000 0.4288
Mn1 Mn 0.1572 0.5000 0.8825
O1 O 0.0452 0.0000 0.7051
O2 O 0.1030 0.5000 0.1687
O3 O 0.2012 0.5000 0.6005
```